(1)
For DyTm5In2, the PBE geometry in Alexandria gives the calculated X-ray diffraction stick pattern in this record (Cu Kα (λ = 1.5418 Å)).

Crystal structure
```
DyTm5In2
1.0
3.5139 0.0000 0.0000
0.0000 10.3627 0.0000
0.0000 0.0000 12.6179
Dy Tm In
2 10 4
Direct
0.0000 0.0000 0.0000
0.5000 0.5000 0.5000
0.0000 0.2285 0.3669
0.0000 0.2285 0.6331
0.0000 0.5000 0.0000
0.0000 0.7715 0.3669
0.0000 0.7715 0.6331
0.5000 0.0000 0.5000
0.5000 0.2715 0.1331
0.5000 0.2715 0.8669
0.5000 0.7285 0.1331
0.5000 0.7285 0.8669
0.0000 0.5000 0.2586
0.0000 0.5000 0.7414
0.5000 0.0000 0.2414
0.5000 0.0000 0.7586
```

Top 12 peaks for 2θ from 10° to 80°, low angle first:
2θ = 31.6°, I = 57
2θ = 33.2°, I = 100
2θ = 34.6°, I = 26
2θ = 36.5°, I = 9
2θ = 39.3°, I = 10
2θ = 48.7°, I = 21
2θ = 52.1°, I = 10
2θ = 59.5°, I = 8
2θ = 60.4°, I = 16
2θ = 61.2°, I = 8
2θ = 63.2°, I = 21
2θ = 64.0°, I = 9


(2)
For Sr4HgBi, the PBE geometry in Alexandria gives the calculated X-ray diffraction stick pattern in this record (Cu Kα (λ = 1.5418 Å)).

Crystal structure
```
Sr4HgBi
1.0
9.0168 0.0000 0.0000
0.0000 5.0371 0.0000
0.0000 0.0000 20.8193
Sr Hg Bi
16 4 4
Direct
0.0161 0.2500 0.0686
0.0299 0.2500 0.7782
0.1335 0.2500 0.3497
0.1412 0.2500 0.5602
0.3588 0.7500 0.0602
0.3665 0.7500 0.8497
0.4701 0.7500 0.2782
0.4839 0.7500 0.5686
0.5161 0.2500 0.4314
0.5299 0.2500 0.7218
0.6335 0.2500 0.1503
0.6412 0.2500 0.9398
0.8588 0.7500 0.4398
0.8665 0.7500 0.6503
0.9701 0.7500 0.2218
0.9839 0.7500 0.9314
0.2424 0.2500 0.9397
0.2576 0.7500 0.4397
0.7424 0.2500 0.5603
0.7576 0.7500 0.0603
0.2359 0.7500 0.6918
0.2641 0.2500 0.1918
0.7359 0.7500 0.8082
0.7641 0.2500 0.3082
```

Top 12 peaks for 2θ from 10° to 80°, low angle first:
2θ = 19.7°, I = 64
2θ = 20.6°, I = 29
2θ = 26.5°, I = 48
2θ = 27.8°, I = 41
2θ = 29.5°, I = 100
2θ = 34.3°, I = 25
2θ = 34.5°, I = 63
2θ = 35.0°, I = 26
2θ = 35.6°, I = 40
2θ = 36.5°, I = 26
2θ = 50.4°, I = 44
2θ = 66.2°, I = 28


(3)
For Tb2Pr5Nd4, the PBE geometry in Alexandria gives the calculated X-ray diffraction stick pattern in this record (Cu Kα (λ = 1.5418 Å)).

Crystal structure
```
Tb2Pr5Nd4
1.0
12.2663 -1.7679 0.0000
12.2663 1.7679 0.0000
-1.0945 0.0000 8.9555
Tb Pr Nd
2 5 4
Direct
0.0905 0.0905 0.2321
0.9095 0.9095 0.7679
0.1402 0.1402 0.6140
0.2299 0.2299 0.3219
0.5000 0.5000 0.5000
0.7701 0.7701 0.6781
0.8598 0.8598 0.3860
0.0455 0.0455 0.8625
0.3231 0.3231 0.0277
0.6769 0.6769 0.9723
0.9545 0.9545 0.1375
```

Top 12 peaks for 2θ from 10° to 80°, low angle first:
2θ = 25.5°, I = 16
2θ = 28.8°, I = 17
2θ = 29.8°, I = 100
2θ = 29.9°, I = 56
2θ = 31.5°, I = 49
2θ = 32.8°, I = 13
2θ = 36.0°, I = 25
2θ = 38.5°, I = 13
2θ = 51.7°, I = 13
2θ = 55.0°, I = 19
2θ = 60.9°, I = 30
2θ = 61.8°, I = 15


(4)
For AcZn4Ir2, the PBE geometry in Alexandria gives the calculated X-ray diffraction stick pattern in this record (Cu Kα (λ = 1.5418 Å)).

Crystal structure
```
AcZn4Ir2
1.0
7.9166 0.0000 0.0000
0.0000 7.9166 0.0000
0.0000 0.0000 4.0953
Ac Zn Ir
2 8 4
Direct
0.0000 0.0000 0.0000
0.5000 0.5000 0.5000
0.0869 0.3456 0.5000
0.1544 0.5869 0.0000
0.3456 0.0869 0.5000
0.4131 0.8456 0.0000
0.5869 0.1544 0.0000
0.6544 0.9131 0.5000
0.8456 0.4131 0.0000
0.9131 0.6544 0.5000
0.2168 0.7832 0.5000
0.2832 0.2832 0.0000
0.7168 0.7168 0.0000
0.7832 0.2168 0.5000
```

Top 12 peaks for 2θ from 10° to 80°, low angle first:
2θ = 27.0°, I = 35
2θ = 32.0°, I = 48
2θ = 33.5°, I = 100
2θ = 35.9°, I = 27
2θ = 39.0°, I = 21
2θ = 42.3°, I = 71
2θ = 44.2°, I = 33
2θ = 47.3°, I = 25
2θ = 55.6°, I = 21
2θ = 62.9°, I = 23
2θ = 66.8°, I = 23
2θ = 67.7°, I = 22


(5)
For Rb2I7Cl, the PBE geometry in Alexandria gives the calculated X-ray diffraction stick pattern in this record (Cu Kα (λ = 1.5418 Å)).

Crystal structure
```
Rb2I7Cl
1.0
-4.3691 4.3691 6.1184
4.3691 -4.3691 6.1184
4.3691 4.3691 -6.1184
Rb I Cl
2 7 1
Direct
0.2500 0.7500 0.5000
0.7500 0.2500 0.5000
0.0000 0.0000 0.0000
0.2427 0.2427 0.4854
0.2427 0.7573 0.0000
0.2483 0.2483 0.0000
0.7517 0.7517 0.0000
0.7573 0.2427 0.0000
0.7573 0.7573 0.5146
0.5000 0.5000 0.0000
```

Top 12 peaks for 2θ from 10° to 80°, low angle first:
2θ = 14.3°, I = 19
2θ = 25.0°, I = 100
2θ = 28.9°, I = 70
2θ = 29.2°, I = 34
2θ = 41.3°, I = 26
2θ = 41.5°, I = 52
2θ = 48.9°, I = 31
2θ = 49.3°, I = 16
2θ = 51.4°, I = 27
2θ = 66.2°, I = 12
2θ = 68.4°, I = 11
2θ = 75.5°, I = 17


(6)
For SrNdTlGa, the PBE geometry in Alexandria gives the calculated X-ray diffraction stick pattern in this record (Cu Kα (λ = 1.5418 Å)).

Crystal structure
```
SrNdTlGa
1.0
7.8004 0.0000 0.0000
0.0000 7.8004 0.0000
0.0000 0.0000 7.8004
Sr Nd Tl Ga
4 4 4 4
Direct
0.0000 0.0000 0.0000
0.0000 0.5000 0.5000
0.5000 0.0000 0.5000
0.5000 0.5000 0.0000
0.0000 0.0000 0.5000
0.0000 0.5000 0.0000
0.5000 0.0000 0.0000
0.5000 0.5000 0.5000
0.2500 0.2500 0.2500
0.2500 0.7500 0.7500
0.7500 0.2500 0.7500
0.7500 0.7500 0.2500
0.2500 0.2500 0.7500
0.2500 0.7500 0.2500
0.7500 0.2500 0.2500
0.7500 0.7500 0.7500
```

Top 11 peaks for 2θ from 10° to 80°, low angle first:
2θ = 19.7°, I = 17
2θ = 22.8°, I = 1
2θ = 32.5°, I = 100
2θ = 38.3°, I = 10
2θ = 46.6°, I = 18
2θ = 51.0°, I = 4
2θ = 57.9°, I = 38
2θ = 61.8°, I = 3
2θ = 68.0°, I = 12
2θ = 71.6°, I = 3
2θ = 77.4°, I = 16


(7)
For Cd2In2Ga15, the PBE geometry in Alexandria gives the calculated X-ray diffraction stick pattern in this record (Cu Kα (λ = 1.5418 Å)).

Crystal structure
```
Cd2In2Ga15
1.0
4.4852 2.5896 5.6854
-4.4852 2.5896 5.6854
0.0000 -5.1791 5.6854
Cd In Ga
2 2 15
Direct
0.1020 0.1020 0.1020
0.8980 0.8980 0.8980
0.3028 0.3028 0.3028
0.6972 0.6972 0.6972
0.0000 0.0000 0.5000
0.0000 0.2994 0.7006
0.0000 0.5000 0.0000
0.0000 0.7006 0.2994
0.1718 0.5925 0.5925
0.2994 0.0000 0.7006
0.2994 0.7006 0.0000
0.4075 0.4075 0.8282
0.4075 0.8282 0.4075
0.5000 0.0000 0.0000
0.5925 0.1718 0.5925
0.5925 0.5925 0.1718
0.7006 0.0000 0.2994
0.7006 0.2994 0.0000
0.8282 0.4075 0.4075
```

Top 12 peaks for 2θ from 10° to 80°, low angle first:
2θ = 31.1°, I = 18
2θ = 32.2°, I = 37
2θ = 34.6°, I = 30
2θ = 35.0°, I = 100
2θ = 37.5°, I = 16
2θ = 38.2°, I = 66
2θ = 40.2°, I = 36
2θ = 43.4°, I = 21
2θ = 58.4°, I = 11
2θ = 60.6°, I = 15
2θ = 69.7°, I = 16
2θ = 73.1°, I = 11


(8)
For Tb5Y3Tl2, the PBE geometry in Alexandria gives the calculated X-ray diffraction stick pattern in this record (Cu Kα (λ = 1.5418 Å)).

Crystal structure
```
Tb5Y3Tl2
1.0
-6.4535 7.6862 3.2333
6.4535 -7.6862 3.2333
6.4535 7.6862 -3.2333
Tb Y Tl
10 6 4
Direct
0.1651 0.1149 0.2800
0.2500 0.0022 0.7522
0.2500 0.2500 0.0000
0.2500 0.4978 0.2478
0.3349 0.6149 0.9498
0.6651 0.3851 0.0502
0.7500 0.5022 0.7522
0.7500 0.7500 0.0000
0.7500 0.9978 0.2478
0.8349 0.8851 0.7200
0.2260 0.3810 0.6070
0.2500 0.7500 0.5000
0.2740 0.8810 0.1551
0.7260 0.1190 0.8449
0.7500 0.2500 0.5000
0.7740 0.6190 0.3930
0.1442 0.6304 0.7746
0.3558 0.1304 0.4862
0.6442 0.8696 0.5138
0.8558 0.3696 0.2254
```

Top 12 peaks for 2θ from 10° to 80°, low angle first:
2θ = 20.3°, I = 43
2θ = 26.1°, I = 17
2θ = 30.0°, I = 100
2θ = 35.0°, I = 18
2θ = 35.2°, I = 44
2θ = 36.3°, I = 54
2θ = 39.5°, I = 53
2θ = 44.8°, I = 11
2θ = 53.8°, I = 34
2θ = 53.9°, I = 12
2θ = 68.8°, I = 11
2θ = 69.5°, I = 16